Entry 1:
Simulated X-ray powder pattern
Compound: LiFe5O5F
Radiation: a wavelength of 1.5418 Å
Structure: DFT lattice parameters and positions (PBE+U)

Largest 6 diffraction maxima, low angle first, 2θ from 10° to 80°:
d = 3.109 Å, 28.72 deg, intensity 1000, hkl 1 1 0; d = 3.043 Å, 29.35 deg, intensity 535, hkl 2 0 0; d = 2.553 Å, 35.16 deg, intensity 803, hkl 1 1 -3; d = 2.236 Å, 40.34 deg, intensity 728, hkl 0 0 6; d = 1.815 Å, 50.27 deg, intensity 362, hkl 1 1 6; d = 1.769 Å, 51.67 deg, intensity 638, hkl 3 1 0

Cell and atoms:
```
data_LiFe5O5F
_cell_length_a 6.086
_cell_length_b 3.616
_cell_length_c 13.415
_cell_angle_alpha 90.00
_cell_angle_beta 90.17
_cell_angle_gamma 90.00
_space_group_name_H-M_alt 'C 1 m 1'
_space_group_IT_number 8
loop_
_space_group_symop_operation_xyz
'x,y,z'
'x,-y,z'
'x+1/2,y+1/2,z'
'x+1/2,-y+1/2,z'
loop_
_atom_site_label
_atom_site_type_symbol
_atom_site_fract_x
_atom_site_fract_y
_atom_site_fract_z
Li1 Li 0.000 0.000 0.000
Fe1 Fe 0.012 0.000 0.331
Fe2 Fe 0.328 0.000 0.833
Fe3 Fe 0.344 0.000 0.166
Fe4 Fe 0.345 0.000 0.499
Fe5 Fe 0.496 0.500 0.669
O1 O 0.002 0.000 0.839
O2 O 0.339 0.000 0.332
O3 O 0.347 0.000 0.668
O4 O 0.491 0.500 0.161
O5 O 0.495 0.500 0.500
F1 F 0.338 0.000 0.000
```



Entry 2:
Simulated X-ray powder pattern
Compound: LiFe7O3F9
Radiation: a wavelength of 1.5418 Å
Structure: DFT lattice parameters and positions (PBE+U)

Largest 6 diffraction maxima, low angle first, 2θ from 10° to 80°:
d = 4.792 Å, 18.52 deg, intensity 1000, hkl 1 -1 0; d = 4.218 Å, 21.06 deg, intensity 500, hkl 1 -1 1; d = 2.689 Å, 33.32 deg, intensity 406, hkl 1 1 1; d = 2.278 Å, 39.56 deg, intensity 429, hkl -2 2 1; d = 2.060 Å, 43.96 deg, intensity 540, hkl 1 2 -2; d = 1.795 Å, 50.87 deg, intensity 360, hkl 0 1 4

Cell and atoms:
```
data_LiFe7O3F9
_cell_length_a 5.543
_cell_length_b 6.022
_cell_length_c 8.568
_cell_angle_alpha 100.53
_cell_angle_beta 95.45
_cell_angle_gamma 112.68
_space_group_name_H-M_alt 'P 1'
_space_group_IT_number 1
loop_
_space_group_symop_operation_xyz
'x,y,z'
loop_
_atom_site_label
_atom_site_type_symbol
_atom_site_fract_x
_atom_site_fract_y
_atom_site_fract_z
Li1 Li 0.000 0.000 0.000
Fe1 Fe 0.033 0.554 0.088
Fe2 Fe 0.167 0.004 0.454
Fe3 Fe 0.268 0.571 0.820
Fe4 Fe 0.537 0.754 0.544
Fe5 Fe 0.544 0.127 0.914
Fe6 Fe 0.553 0.918 0.211
Fe7 Fe 0.899 0.408 0.365
O1 O 0.261 0.710 0.345
O2 O 0.277 0.836 0.003
O3 O 0.825 0.224 0.129
F1 F 0.266 0.422 0.592
F2 F 0.288 0.307 0.944
F3 F 0.364 0.989 0.667
F4 F 0.449 0.206 0.335
F5 F 0.682 0.836 0.810
F6 F 0.816 0.767 0.158
F7 F 0.822 0.066 0.450
F8 F 0.853 0.395 0.836
F9 F 0.857 0.673 0.527
```



Entry 3:
Simulated X-ray powder pattern
Compound: Li2FeO2F
Radiation: a wavelength of 1.5418 Å
Structure: DFT lattice parameters and positions (PBE+U)

Largest 6 diffraction maxima, low angle first, 2θ from 10° to 80°:
d = 4.855 Å, 18.27 deg, intensity 1000, hkl 0 0 2; d = 2.542 Å, 35.31 deg, intensity 270, hkl 1 3 -1; d = 2.531 Å, 35.47 deg, intensity 153, hkl 2 0 0; d = 2.107 Å, 42.92 deg, intensity 822, hkl 1 3 -3; d = 2.098 Å, 43.12 deg, intensity 421, hkl 2 0 2; d = 1.487 Å, 62.46 deg, intensity 555, hkl 2 0 -6

Cell and atoms:
```
data_Li2FeO2F
_cell_length_a 5.143
_cell_length_b 8.952
_cell_length_c 9.865
_cell_angle_alpha 90.00
_cell_angle_beta 100.16
_cell_angle_gamma 90.00
_space_group_name_H-M_alt 'C 1 2 1'
_space_group_IT_number 5
loop_
_space_group_symop_operation_xyz
'x,y,z'
'-x,y,-z'
'x+1/2,y+1/2,z'
'-x+1/2,y+1/2,-z'
loop_
_atom_site_label
_atom_site_type_symbol
_atom_site_fract_x
_atom_site_fract_y
_atom_site_fract_z
Li1 Li 0.000 0.000 0.000
Li2 Li 0.000 0.350 0.000
Li3 Li 0.235 0.844 0.252
Li4 Li 0.239 0.995 0.757
Li5 Li 0.244 0.683 0.754
Fe1 Fe 0.000 0.175 0.500
Fe2 Fe 0.000 0.509 0.500
Fe3 Fe 0.000 0.703 0.000
Fe4 Fe 0.000 0.842 0.500
O1 O 0.123 0.836 0.880
O2 O 0.126 0.342 0.383
O3 O 0.128 0.008 0.384
O4 O 0.128 0.676 0.385
F1 F 0.115 0.517 0.882
F2 F 0.131 0.172 0.878
```



Entry 4:
Simulated X-ray powder pattern
Compound: Li5FeO3F
Radiation: a wavelength of 1.5418 Å
Structure: DFT lattice parameters and positions (PBE+U)

Largest 6 diffraction maxima, low angle first, 2θ from 10° to 80°:
d = 6.660 Å, 13.30 deg, intensity 597, hkl 1 1 0; d = 3.449 Å, 25.83 deg, intensity 1000, hkl 1 1 1; d = 2.176 Å, 41.51 deg, intensity 471, hkl 3 3 -1; d = 1.847 Å, 49.34 deg, intensity 159, hkl 2 0 2; d = 1.669 Å, 55.04 deg, intensity 170, hkl 2 4 -2; d = 1.665 Å, 55.17 deg, intensity 169, hkl 4 4 0

Cell and atoms:
```
data_Li5FeO3F
_cell_length_a 9.598
_cell_length_b 9.633
_cell_length_c 4.742
_cell_angle_alpha 90.00
_cell_angle_beta 106.20
_cell_angle_gamma 90.00
_space_group_name_H-M_alt 'C 1 2/m 1'
_space_group_IT_number 12
loop_
_space_group_symop_operation_xyz
'x,y,z'
'-x,-y,-z'
'-x,y,-z'
'x,-y,z'
'x+1/2,y+1/2,z'
'-x+1/2,-y+1/2,-z'
'-x+1/2,y+1/2,-z'
'x+1/2,-y+1/2,z'
loop_
_atom_site_label
_atom_site_type_symbol
_atom_site_fract_x
_atom_site_fract_y
_atom_site_fract_z
Li1 Li 0.128 0.218 0.383
Li2 Li 0.131 0.287 0.871
Li3 Li 0.143 0.000 0.875
Fe1 Fe 0.127 0.500 0.366
O1 O 0.000 0.354 0.500
O2 O 0.248 0.352 0.248
F1 F 0.000 0.144 0.000
```



Entry 5:
Simulated X-ray powder pattern
Compound: LiFe8O12F4
Radiation: a wavelength of 1.5418 Å
Structure: DFT lattice parameters and positions (PBE+U)

Largest 6 diffraction maxima, low angle first, 2θ from 10° to 80°:
d = 3.737 Å, 23.81 deg, intensity 1000, hkl 0 0 2; d = 3.172 Å, 28.14 deg, intensity 759, hkl 0 2 0; d = 2.541 Å, 35.32 deg, intensity 382, hkl 2 1 2; d = 2.529 Å, 35.50 deg, intensity 395, hkl 2 -1 2; d = 1.836 Å, 49.65 deg, intensity 228, hkl -2 1 2; d = 1.488 Å, 62.40 deg, intensity 130, hkl 4 0 2

Cell and atoms:
```
data_LiFe8O12F4
_cell_length_a 5.953
_cell_length_b 6.344
_cell_length_c 8.044
_cell_angle_alpha 88.98
_cell_angle_beta 68.33
_cell_angle_gamma 89.83
_space_group_name_H-M_alt 'P -1'
_space_group_IT_number 2
loop_
_space_group_symop_operation_xyz
'x,y,z'
'-x,-y,-z'
loop_
_atom_site_label
_atom_site_type_symbol
_atom_site_fract_x
_atom_site_fract_y
_atom_site_fract_z
Li1 Li 0.000 0.000 0.000
Fe1 Fe 0.131 0.253 0.723
Fe2 Fe 0.131 0.258 0.246
Fe3 Fe 0.375 0.759 0.250
Fe4 Fe 0.406 0.743 0.688
O1 O 0.131 0.553 0.741
O2 O 0.131 0.938 0.745
O3 O 0.184 0.768 0.105
O4 O 0.377 0.066 0.257
O5 O 0.379 0.450 0.251
O6 O 0.465 0.250 0.573
F1 F 0.028 0.750 0.458
F2 F 0.271 0.230 0.939
```



Entry 6:
Simulated X-ray powder pattern
Compound: Li3Fe4O3F9
Radiation: a wavelength of 1.5418 Å
Structure: DFT lattice parameters and positions (PBE+U)

Largest 6 diffraction maxima, low angle first, 2θ from 10° to 80°:
d = 5.915 Å, 14.98 deg, intensity 1000, hkl 0 0 1; d = 2.879 Å, 31.07 deg, intensity 858, hkl 1 0 -2; d = 2.838 Å, 31.52 deg, intensity 954, hkl 0 2 -1; d = 2.816 Å, 31.78 deg, intensity 592, hkl 1 1 1; d = 2.783 Å, 32.16 deg, intensity 699, hkl 2 -1 0; d = 1.726 Å, 53.07 deg, intensity 642, hkl -3 1 2

Cell and atoms:
```
data_Li3Fe4O3F9
_cell_length_a 5.886
_cell_length_b 5.999
_cell_length_c 6.134
_cell_angle_alpha 99.73
_cell_angle_beta 99.93
_cell_angle_gamma 99.79
_space_group_name_H-M_alt 'P 1'
_space_group_IT_number 1
loop_
_space_group_symop_operation_xyz
'x,y,z'
loop_
_atom_site_label
_atom_site_type_symbol
_atom_site_fract_x
_atom_site_fract_y
_atom_site_fract_z
Li1 Li 0.000 0.000 0.000
Li2 Li 0.148 0.324 0.599
Li3 Li 0.387 0.937 0.699
Fe1 Fe 0.280 0.671 0.210
Fe2 Fe 0.535 0.191 0.277
Fe3 Fe 0.745 0.484 0.950
Fe4 Fe 0.797 0.739 0.446
O1 O 0.534 0.498 0.181
O2 O 0.558 0.924 0.399
O3 O 0.955 0.731 0.192
F1 F 0.040 0.993 0.642
F2 F 0.075 0.440 0.912
F3 F 0.212 0.195 0.295
F4 F 0.254 0.625 0.516
F5 F 0.327 0.903 0.999
F6 F 0.480 0.284 0.728
F7 F 0.721 0.730 0.772
F8 F 0.756 0.175 0.059
F9 F 0.817 0.401 0.495
```



Entry 7:
Simulated X-ray powder pattern
Compound: Li2Fe4OF8
Radiation: a wavelength of 1.5418 Å
Structure: DFT lattice parameters and positions (PBE+U)

Largest 6 diffraction maxima, low angle first, 2θ from 10° to 80°:
d = 6.023 Å, 14.71 deg, intensity 1000, hkl 1 0 0; d = 5.157 Å, 17.20 deg, intensity 552, hkl 1 1 0; d = 3.830 Å, 23.23 deg, intensity 810, hkl 0 2 1; d = 2.298 Å, 39.20 deg, intensity 616, hkl 2 3 1; d = 2.166 Å, 41.69 deg, intensity 670, hkl 0 1 4; d = 2.079 Å, 43.54 deg, intensity 571, hkl 2 -2 1

Cell and atoms:
```
data_Li2Fe4OF8
_cell_length_a 6.508
_cell_length_b 8.089
_cell_length_c 9.204
_cell_angle_alpha 68.07
_cell_angle_beta 70.37
_cell_angle_gamma 73.29
_space_group_name_H-M_alt 'P -1'
_space_group_IT_number 2
loop_
_space_group_symop_operation_xyz
'x,y,z'
'-x,-y,-z'
loop_
_atom_site_label
_atom_site_type_symbol
_atom_site_fract_x
_atom_site_fract_y
_atom_site_fract_z
Li1 Li 0.096 0.293 0.438
Li2 Li 0.245 0.737 0.833
Fe1 Fe 0.187 0.322 0.785
Fe2 Fe 0.351 0.656 0.232
Fe3 Fe 0.360 0.121 0.091
Fe4 Fe 0.430 0.890 0.417
O1 O 0.462 0.136 0.832
F1 F 0.061 0.240 0.043
F2 F 0.095 0.526 0.271
F3 F 0.198 0.729 0.435
F4 F 0.212 0.117 0.330
F5 F 0.295 0.307 0.546
F6 F 0.345 0.518 0.777
F7 F 0.345 0.924 0.644
F8 F 0.390 0.729 0.987
```



Entry 8:
Simulated X-ray powder pattern
Compound: LiFe8O14F2
Radiation: a wavelength of 1.5418 Å
Structure: DFT lattice parameters and positions (PBE+U)

Largest 6 diffraction maxima, low angle first, 2θ from 10° to 80°:
d = 3.884 Å, 22.90 deg, intensity 1000, hkl 1 -1 0; d = 3.247 Å, 27.47 deg, intensity 850, hkl 1 1 0; d = 2.502 Å, 35.90 deg, intensity 316, hkl 1 0 -4; d = 2.495 Å, 36.00 deg, intensity 377, hkl 0 1 4; d = 2.317 Å, 38.86 deg, intensity 233, hkl 1 -1 4; d = 1.443 Å, 64.57 deg, intensity 240, hkl 0 0 8

Cell and atoms:
```
data_LiFe8O14F2
_cell_length_a 5.057
_cell_length_b 5.067
_cell_length_c 11.551
_cell_angle_alpha 90.24
_cell_angle_beta 90.06
_cell_angle_gamma 100.21
_space_group_name_H-M_alt 'P 1'
_space_group_IT_number 1
loop_
_space_group_symop_operation_xyz
'x,y,z'
loop_
_atom_site_label
_atom_site_type_symbol
_atom_site_fract_x
_atom_site_fract_y
_atom_site_fract_z
Li1 Li 0.000 0.000 0.000
Fe1 Fe 0.296 0.690 0.745
Fe2 Fe 0.298 0.676 0.492
Fe3 Fe 0.316 0.670 0.994
Fe4 Fe 0.325 0.713 0.245
Fe5 Fe 0.709 0.264 0.125
Fe6 Fe 0.724 0.265 0.864
Fe7 Fe 0.727 0.257 0.613
Fe8 Fe 0.868 0.092 0.376
O1 O 0.128 0.860 0.368
O2 O 0.151 0.834 0.881
O3 O 0.166 0.842 0.117
O4 O 0.465 0.516 0.613
O5 O 0.466 0.542 0.360
O6 O 0.475 0.509 0.870
O7 O 0.476 0.515 0.117
O8 O 0.576 0.034 0.739
O9 O 0.604 0.999 0.498
O10 O 0.616 0.017 0.991
O11 O 0.632 0.007 0.247
O12 O 0.953 0.409 0.739
O13 O 0.970 0.375 0.995
O14 O 0.979 0.372 0.493
F1 F 0.004 0.380 0.245
F2 F 0.118 0.860 0.616
```



Entry 9:
Simulated X-ray powder pattern
Compound: Li2FeO2F
Radiation: a wavelength of 1.5418 Å
Structure: DFT lattice parameters and positions (PBE+U)

Largest 6 diffraction maxima, low angle first, 2θ from 10° to 80°:
d = 4.866 Å, 18.23 deg, intensity 966, hkl 0 0 1; d = 4.521 Å, 19.64 deg, intensity 334, hkl 0 2 0; d = 3.312 Å, 26.92 deg, intensity 300, hkl 0 2 1; d = 2.561 Å, 35.04 deg, intensity 281, hkl 1 3 0; d = 2.139 Å, 42.25 deg, intensity 1000, hkl 1 3 1; d = 2.030 Å, 44.63 deg, intensity 350, hkl 2 0 -2

Cell and atoms:
```
data_Li2FeO2F
_cell_length_a 5.064
_cell_length_b 9.042
_cell_length_c 5.075
_cell_angle_alpha 90.00
_cell_angle_beta 106.47
_cell_angle_gamma 90.00
_space_group_name_H-M_alt 'C 1 2/m 1'
_space_group_IT_number 12
loop_
_space_group_symop_operation_xyz
'x,y,z'
'-x,-y,-z'
'-x,y,-z'
'x,-y,z'
'x+1/2,y+1/2,z'
'-x+1/2,-y+1/2,-z'
'-x+1/2,y+1/2,-z'
'x+1/2,-y+1/2,z'
loop_
_atom_site_label
_atom_site_type_symbol
_atom_site_fract_x
_atom_site_fract_y
_atom_site_fract_z
Li1 Li 0.000 0.000 0.000
Li2 Li 0.000 0.182 0.500
Li3 Li 0.000 0.500 0.500
Fe1 Fe 0.000 0.316 0.000
O1 O 0.239 0.327 0.768
F1 F 0.238 0.500 0.242
```



Entry 10:
Simulated X-ray powder pattern
Compound: Li4FeO3F
Radiation: a wavelength of 1.5418 Å
Structure: DFT lattice parameters and positions (PBE+U)

Largest 6 diffraction maxima, low angle first, 2θ from 10° to 80°:
d = 4.200 Å, 21.16 deg, intensity 475, hkl 1 1 -1; d = 4.172 Å, 21.30 deg, intensity 1000, hkl 1 1 1; d = 4.030 Å, 22.06 deg, intensity 555, hkl 2 0 0; d = 3.335 Å, 26.73 deg, intensity 363, hkl 0 2 1; d = 2.819 Å, 31.75 deg, intensity 777, hkl 2 2 0; d = 2.741 Å, 32.68 deg, intensity 295, hkl 1 1 -2

Cell and atoms:
```
data_Li4FeO3F
_cell_length_a 8.060
_cell_length_b 7.887
_cell_length_c 6.249
_cell_angle_alpha 90.00
_cell_angle_beta 90.55
_cell_angle_gamma 90.00
_space_group_name_H-M_alt 'C 1 c 1'
_space_group_IT_number 9
loop_
_space_group_symop_operation_xyz
'x,y,z'
'x,-y,z+1/2'
'x+1/2,y+1/2,z'
'x+1/2,-y+1/2,z+1/2'
loop_
_atom_site_label
_atom_site_type_symbol
_atom_site_fract_x
_atom_site_fract_y
_atom_site_fract_z
Li1 Li 0.000 0.001 0.000
Li2 Li 0.060 0.378 0.492
Li3 Li 0.239 0.439 0.809
Li4 Li 0.349 0.160 0.719
Fe1 Fe 0.335 0.192 0.254
O1 O 0.004 0.468 0.770
O2 O 0.303 0.337 0.490
O3 O 0.372 0.290 0.987
F1 F 0.148 0.017 0.243
```